Diffraction record for Ca4P5Pd5. The XRD peak list is computed, not measured: it uses a crystal structure in Alexandria, relaxed with PBE and λ = 1.5418 Å (Cu Kα).

Cell and atoms:
```
data_Ca4P5Pd5
_chemical_formula_sum 'Ca16 P20 Pd20'
_symmetry_space_group_name_H-M 'C m c m'
_symmetry_Int_Tables_number 63
_symmetry_space_group_name_Hall '-C 2c 2'
_cell_length_a 4.1074
_cell_length_b 31.3494
_cell_length_c 8.2331
_cell_angle_alpha 90.00
_cell_angle_beta 90.00
_cell_angle_gamma 90.00
loop_
_atom_site_label
_atom_site_type_symbol
_atom_site_fract_x
_atom_site_fract_y
_atom_site_fract_z
_atom_site_occupancy
Ca1 Ca 0.0000 0.0789 0.0024 1
Ca2 Ca 0.0000 0.3063 0.5074 1
P1 P 0.0000 0.1580 0.2500 1
P2 P 0.0000 0.1582 0.7500 1
P3 P 0.0000 0.2289 0.7500 1
P4 P 0.0000 0.4539 0.2500 1
P5 P 0.0000 0.4553 0.7500 1
Pd1 Pd 0.0000 0.0005 0.7500 1
Pd2 Pd 0.0000 0.2352 0.2500 1
Pd3 Pd 0.0000 0.3784 0.2500 1
Pd4 Pd 0.0000 0.3805 0.7500 1
Pd5 Pd 0.0000 0.5000 0.0000 1
```

The 6 most intense peaks (10° ≤ 2θ ≤ 80°), low angle first:
(0 8 2), 2θ = 31.52°, intensity 27; (1 5 2), 2θ = 33.99°, intensity 100; (1 13 0), 2θ = 43.52°, intensity 24; (0 0 4), 2θ = 43.99°, intensity 23; (2 0 0), 2θ = 44.10°, intensity 23; (1 13 2), 2θ = 49.08°, intensity 22


Diffraction record for CaB6. The XRD peak list is computed, not measured: it uses a crystal structure in Alexandria, relaxed with PBE and λ = 1.5418 Å (Cu Kα).

Cell and atoms:
```
data_CaB6
_chemical_formula_sum 'Ca1 B6'
_symmetry_space_group_name_H-M 'P m -3 m'
_symmetry_Int_Tables_number 221
_symmetry_space_group_name_Hall '-P 4 2 3'
_cell_length_a 4.1500
_cell_length_b 4.1500
_cell_length_c 4.1500
_cell_angle_alpha 90.00
_cell_angle_beta 90.00
_cell_angle_gamma 90.00
loop_
_atom_site_label
_atom_site_type_symbol
_atom_site_fract_x
_atom_site_fract_y
_atom_site_fract_z
_atom_site_occupancy
Ca1 Ca 0.0000 0.0000 0.0000 1
B1 B 0.2016 0.5000 0.5000 1
```

The 6 most intense peaks (10° ≤ 2θ ≤ 80°), low angle first:
(1 1 0), 2θ = 30.46°, intensity 100; (1 1 1), 2θ = 37.54°, intensity 48; (2 0 0), 2θ = 43.62°, intensity 26; (2 1 0), 2θ = 49.09°, intensity 38; (2 2 1), 2θ = 67.74°, intensity 33; (3 1 0), 2θ = 71.95°, intensity 22